1.
# IrF3
Theoretical PXRD pattern, CuKα. Input: a cell relaxed with PBE.

Structural model:
Unit cell a=5.5301 b=5.5301 c=5.5301 alpha=54.10 beta=54.10 gamma=54.10
Atoms (fractional coordinates):
Ir1 0.0000 0.0000 0.0000
Ir2 0.5000 0.5000 0.5000
F1 0.0894 0.7500 0.4106
F2 0.2500 0.5894 0.9106
F3 0.4106 0.0894 0.7500
F4 0.5894 0.9106 0.2500
F5 0.7500 0.4106 0.0894
F6 0.9106 0.2500 0.5894

Peak list (8 most intense, 15 to 90 degrees two-theta, in order of falling intensity)
2theta, d/Å, I/Imax
24.00, 3.707, 100.0
32.65, 2.742, 44.8
53.31, 1.718, 29.9
35.70, 2.515, 25.5
43.48, 2.081, 20.3
57.47, 1.603, 18.4
49.15, 1.854, 15.1
62.22, 1.492, 14.7

2.
# Sr2Mg
Theoretical PXRD pattern, CuKα. Input: a cell relaxed with PBE.

Structural model:
Unit cell a=6.6918 b=6.6918 c=7.9350 alpha=119.60 beta=119.60 gamma=63.97
Atoms (fractional coordinates):
Sr1 0.0394 0.3039 0.2285
Sr2 0.3039 0.0394 0.7285
Sr3 0.6961 0.9606 0.2715
Sr4 0.9606 0.6961 0.7715
Mg1 0.4108 0.5892 0.2500
Mg2 0.5892 0.4108 0.7500

Peak list (8 most intense, 15 to 90 degrees two-theta, in order of falling intensity)
2theta, d/Å, I/Imax
28.77, 3.103, 100.0
26.88, 3.317, 41.5
27.66, 3.225, 37.5
31.71, 2.822, 26.9
22.64, 3.927, 18.3
36.59, 2.456, 15.2
48.55, 1.875, 15.2
29.83, 2.995, 13.8

3.
# Mg3Zn
Theoretical PXRD pattern, CuKα. Input: a cell relaxed with PBE.

Structural model:
Unit cell a=4.3544 b=4.3544 c=4.3544 alpha=90.00 beta=90.00 gamma=90.00
Atoms (fractional coordinates):
Mg1 0.0000 0.0000 0.5000
Mg2 0.0000 0.5000 0.0000
Mg3 0.5000 0.0000 0.0000
Zn1 0.5000 0.5000 0.5000

Peak list (8 most intense, 15 to 90 degrees two-theta, in order of falling intensity)
2theta, d/Å, I/Imax
35.71, 2.514, 100.0
41.48, 2.177, 48.9
71.92, 1.313, 34.8
60.10, 1.540, 30.9
20.40, 4.354, 28.6
29.00, 3.079, 24.6
46.64, 1.947, 13.1
75.66, 1.257, 9.9